Diffraction record for NiAuF5. The powder diffractogram is theoretical, not measured: it uses a crystal structure in Alexandria, relaxed with PBE+U and Cu Kα.

Largest 12 diffraction maxima, most intense first, 10 to 90 degrees two-theta:
d [Å]	intensity	(hkl)
3.698	100.0	-1 1 1
3.145	65.6	1 1 0
3.964	57.1	0 1 1
4.377	56.8	0 1 -1
4.343	53.4	1 0 -1
3.073	37.1	1 0 -2
3.089	34.8	0 1 -2
2.802	34.0	1 0 2
2.526	28.4	1 1 -2
2.088	26.1	-1 1 3
2.328	26.1	0 2 1
2.318	25.9	2 0 1

Structural model:
Unit cell a=5.334 b=5.374 c=7.234 alpha=94.46 beta=93.99 gamma=107.41
Space group P-1 (No. 2)
Inequivalent atoms, fractional coordinates:
Ni 0.000 0.000 0.000
Ni 0.000 0.000 0.500
Au 0.371 0.633 0.249
F 0.071 0.687 0.102
F 0.097 0.907 0.750
F 0.302 0.368 0.597
F 0.317 0.935 0.393
F 0.369 0.303 0.098